Record 1
This entry pairs a crystal structure of Ba2SrLiNi with its simulated XRD peak list. Radiation: Cu Kα X-rays. Structure: a cell relaxed with PBE.

Crystal structure
Cell: 6.092 6.092 5.941 Å, 90.00 90.00 90.00°
Space group P4/mmm (No. 123)
Inequivalent atoms, fractional coordinates:
Ba 0.000 0.500 0.000 [2 per cell]
Sr 0.000 0.000 0.500 [1 per cell]
Li 0.500 0.500 0.500 [1 per cell]
Ni 0.000 0.000 0.000 [1 per cell]

Principal peaks in the range 2θ from 5° to 70°, by angle:
| 2θ (°) | Rel. int. | index |
| --- | --- | --- |
| 14.54 | 49 | 1 0 0 |
| 14.91 | 58 | 0 0 1 |
| 25.54 | 100 | 1 1 1 |
| 29.32 | 74 | 2 0 0 |
| 30.08 | 35 | 0 0 2 |
| 33.05 | 33 | 2 0 1 |
| 41.95 | 28 | 2 2 0 |
| 42.51 | 53 | 2 0 2 |
| 49.76 | 32 | 3 1 1 |
| 52.48 | 28 | 2 2 2 |

Record 2
This entry pairs a crystal structure of Ba2LiNpO6 with its simulated XRD peak list. Radiation: Cu Kα X-rays. Structure: a cell relaxed with PBE.

Crystal structure
Cell: 10.404 5.983 6.039 Å, 90.00 125.45 90.00°
Space group C2/m (No. 12)
Inequivalent atoms, fractional coordinates:
Ba 0.249 0.000 0.248 [4 per cell]
Li 0.000 0.500 0.000 [2 per cell]
Np 0.000 0.000 0.500 [2 per cell]
O 0.020 0.238 0.758 [8 per cell]
O 0.238 0.000 0.698 [4 per cell]

Principal peaks in the range 2θ from 5° to 70°, by angle:
| 2θ (°) | Rel. int. | index |
| --- | --- | --- |
| 18.04 | 33 | 2 0 -1 |
| 18.15 | 33 | 1 1 0 |
| 29.59 | 20 | 2 0 -2 |
| 29.79 | 100 | 1 1 1 |
| 34.93 | 12 | 1 1 -2 |
| 35.10 | 24 | 4 0 -1 |
| 42.54 | 24 | 2 2 -2 |
| 52.61 | 17 | 1 1 -3 |
| 52.96 | 25 | 4 2 0 |
| 61.84 | 15 | 2 2 2 |

Record 3
This entry pairs a crystal structure of BaLi4O3 with its simulated XRD peak list. Radiation: Cu Kα X-rays. Structure: a cell relaxed with PBE.

Crystal structure
Cell: 5.810 9.233 13.601 Å, 90.00 90.00 90.00°
Space group Cmce (No. 64)
Inequivalent atoms, fractional coordinates:
Ba 0.000 0.012 0.159 [8 per cell]
Li 0.000 0.177 0.672 [8 per cell]
Li 0.000 0.196 0.339 [8 per cell]
Li 0.178 0.132 0.503 [16 per cell]
O 0.000 0.003 0.397 [8 per cell]
O 0.000 0.185 0.995 [8 per cell]
O 0.250 0.245 0.750 [8 per cell]

Principal peaks in the range 2θ from 5° to 70°, by angle:
| 2θ (°) | Rel. int. | index |
| --- | --- | --- |
| 13.02 | 18 | 0 0 2 |
| 19.21 | 100 | 0 2 0 |
| 26.75 | 95 | 1 1 3 |
| 30.78 | 29 | 2 0 0 |
| 32.71 | 33 | 0 2 4 |
| 36.55 | 33 | 2 2 0 |
| 38.60 | 54 | 1 3 3 |
| 38.99 | 28 | 0 4 0 |
| 50.50 | 23 | 2 4 0 |
| 60.02 | 17 | 3 3 3 |

Record 4
This entry pairs a crystal structure of BaLiOsO4 with its simulated XRD peak list. Radiation: Cu Kα X-rays. Structure: a cell relaxed with PBE.

Crystal structure
Cell: 8.396 8.396 8.396 Å, 90.00 90.00 90.00°
Space group F-43m (No. 216)
Inequivalent atoms, fractional coordinates:
Ba 0.000 0.000 0.000 [4 per cell]
Li 0.250 0.250 0.750 [4 per cell]
Os 0.000 0.000 0.500 [4 per cell]
O 0.126 0.126 0.626 [16 per cell]

Principal peaks in the range 2θ from 5° to 70°, by angle:
| 2θ (°) | Rel. int. | index |
| --- | --- | --- |
| 18.30 | 14 | 1 1 1 |
| 21.16 | 100 | 2 0 0 |
| 30.11 | 90 | 2 2 0 |
| 37.09 | 34 | 2 2 2 |
| 43.10 | 11 | 4 0 0 |
| 47.19 | 3 | 3 3 1 |
| 48.49 | 46 | 4 2 0 |
| 53.46 | 36 | 4 2 2 |
| 62.59 | 15 | 4 4 0 |
| 66.86 | 22 | 6 0 0 |

Record 5
This entry pairs a crystal structure of BaLi2OsO4 with its simulated XRD peak list. Radiation: Cu Kα X-rays. Structure: a cell relaxed with PBE.

Crystal structure
Cell: 3.934 5.707 9.981 Å, 90.00 90.00 90.00°
Space group Immm (No. 71)
Inequivalent atoms, fractional coordinates:
Ba 0.000 0.000 0.000 [2 per cell]
Li 0.000 0.500 0.230 [4 per cell]
Os 0.000 0.000 0.500 [2 per cell]
O 0.000 0.236 0.365 [8 per cell]

Principal peaks in the range 2θ from 5° to 70°, by angle:
| 2θ (°) | Rel. int. | index |
| --- | --- | --- |
| 17.77 | 94 | 0 0 2 |
| 27.54 | 73 | 1 1 0 |
| 31.35 | 18 | 0 2 0 |
| 32.97 | 100 | 1 1 2 |
| 36.26 | 36 | 0 2 2 |
| 45.91 | 34 | 1 1 4 |
| 48.46 | 23 | 0 2 4 |
| 56.84 | 29 | 1 3 2 |
| 60.06 | 17 | 2 2 2 |
| 62.80 | 16 | 1 1 6 |

Record 6
This entry pairs a crystal structure of BaLi2P2O7 with its simulated XRD peak list. Radiation: Cu Kα X-rays. Structure: a cell relaxed with PBE.

Crystal structure
Cell: 5.4223 5.4223 22.3514 Å, 90.00 90.00 120.00°
Space group R32 (No. 155, hexagonal axes)
Inequivalent atoms, fractional coordinates:
Ba 0.0000 0.0000 0.0000 [3 per cell]
Li 0.0000 0.0000 0.2410 [6 per cell]
P 0.0000 0.0000 0.4283 [6 per cell]
O 0.0000 0.0000 0.5000 [3 per cell]
O 0.0419 0.4221 0.0753 [18 per cell]

Principal peaks in the range 2θ from 5° to 70°, by angle:
| 2θ (°) | Rel. int. | index |
| --- | --- | --- |
| 11.88 | 45 | 0 0 3 |
| 20.52 | 100 | 0 1 2 |
| 24.77 | 36 | 1 0 4 |
| 27.55 | 51 | 0 1 5 |
| 33.04 | 35 | 1 1 0 |
| 33.95 | 33 | 1 0 7 |
| 35.23 | 14 | 1 1 3 |
| 39.21 | 22 | 2 0 2 |
| 41.18 | 18 | 1 1 6 |
| 49.79 | 18 | 1 1 9 |